# 1
Structure and theoretical X-ray powder pattern of RbUFeSe4 (DFT lattice parameters and positions (GGA-PBE); Cu Ka).
Intensities are scaled so that the largest is 100.

The 8 most intense peaks (15° ≤ 2θ ≤ 90°), in order of rising 2θ:
d 4.497, 19.7 deg, I = 61; d 3.234, 27.6 deg, I = 56; d 3.093, 28.9 deg, I = 63; d 2.884, 31.0 deg, I = 100; d 2.872, 31.1 deg, I = 56; d 2.791, 32.1 deg, I = 68; d 2.640, 34.0 deg, I = 54; d 1.933, 47.0 deg, I = 51

```
RbUFeSe4
1.0
6.618 0.000 0.000
0.000 6.469 0.000
-3.150 0.000 9.134
Rb U Fe Se
2 2 2 8
Direct
0.247 0.250 0.052 Rb
0.753 0.750 0.948 Rb
0.245 0.250 0.552 U
0.755 0.750 0.448 U
0.234 0.750 0.339 Fe
0.766 0.250 0.661 Fe
0.024 0.513 0.700 Se
0.024 0.987 0.700 Se
0.430 0.750 0.175 Se
0.441 0.750 0.587 Se
0.559 0.250 0.413 Se
0.570 0.250 0.825 Se
0.976 0.013 0.300 Se
0.976 0.487 0.300 Se
```


# 2
Structure and theoretical X-ray powder pattern of Y7Ho4Pu (DFT lattice parameters and positions (GGA-PBE); Cu Ka).
Intensities are scaled so that the largest is 100.

The 8 most intense peaks (15° ≤ 2θ ≤ 90°), in order of rising 2θ:
d 4.080, 21.8 deg, I = 63; d 2.994, 29.8 deg, I = 57; d 2.889, 31.0 deg, I = 45; d 2.884, 31.0 deg, I = 100; d 2.807, 31.9 deg, I = 76; d 2.798, 32.0 deg, I = 44; d 2.733, 32.8 deg, I = 41; d 2.077, 43.6 deg, I = 41

```
Y7Ho4Pu
1.0
8.184 -2.884 0.000
8.184 2.884 0.000
-4.827 0.000 7.993
Y Ho Pu
7 4 1
Direct
0.000 0.000 0.000 Y
0.205 0.205 0.888 Y
0.338 0.338 0.690 Y
0.445 0.445 0.275 Y
0.555 0.555 0.725 Y
0.662 0.662 0.310 Y
0.795 0.795 0.112 Y
0.093 0.093 0.455 Ho
0.250 0.250 0.286 Ho
0.750 0.750 0.714 Ho
0.907 0.907 0.545 Ho
0.500 0.500 0.000 Pu
```


# 3
Structure and theoretical X-ray powder pattern of Ho8Er3Th4 (DFT lattice parameters and positions (GGA-PBE); Cu Ka).
Intensities are scaled so that the largest is 100.

The 8 most intense peaks (15° ≤ 2θ ≤ 90°), in order of rising 2θ:
d 3.211, 27.8 deg, I = 72; d 2.902, 30.8 deg, I = 94; d 2.877, 31.1 deg, I = 100; d 2.860, 31.3 deg, I = 88; d 2.808, 31.9 deg, I = 26; d 2.153, 42.0 deg, I = 48; d 2.143, 42.2 deg, I = 50; d 2.136, 42.3 deg, I = 45

```
Ho8Er3Th4
1.0
6.657 -6.423 0.000
6.657 6.423 0.000
-3.230 0.000 5.755
Ho Er Th
8 3 4
Direct
0.138 0.862 0.000 Ho
0.238 0.238 0.013 Ho
0.244 0.244 0.505 Ho
0.252 0.748 0.500 Ho
0.748 0.252 0.500 Ho
0.756 0.756 0.495 Ho
0.762 0.762 0.987 Ho
0.862 0.138 0.000 Ho
0.000 0.500 0.500 Er
0.500 0.000 0.500 Er
0.500 0.500 0.500 Er
0.000 0.000 0.500 Th
0.000 0.500 0.000 Th
0.500 0.000 0.000 Th
0.500 0.500 0.000 Th
```


# 4
Structure and theoretical X-ray powder pattern of Os2CI (DFT lattice parameters and positions (GGA-PBE); Cu Ka).
Intensities are scaled so that the largest is 100.

The 8 most intense peaks (15° ≤ 2θ ≤ 90°), in order of rising 2θ:
d 3.007, 29.7 deg, I = 100; d 2.947, 30.3 deg, I = 37; d 2.239, 40.3 deg, I = 63; d 1.992, 45.5 deg, I = 12; d 1.932, 47.0 deg, I = 20; d 1.858, 49.0 deg, I = 32; d 1.613, 57.1 deg, I = 16; d 1.320, 71.4 deg, I = 15

```
Os2CI
1.0
5.116 0.000 0.000
0.000 5.116 0.000
0.000 0.000 10.814
Os C I
8 4 4
Direct
0.141 0.250 0.125 Os
0.250 0.641 0.375 Os
0.250 0.859 0.875 Os
0.359 0.250 0.625 Os
0.641 0.750 0.625 Os
0.750 0.141 0.875 Os
0.750 0.359 0.375 Os
0.859 0.750 0.125 Os
0.000 0.000 0.000 C
0.000 0.500 0.250 C
0.500 0.000 0.750 C
0.500 0.500 0.500 C
0.000 0.000 0.500 I
0.000 0.500 0.750 I
0.500 0.000 0.250 I
0.500 0.500 0.000 I
```


# 5
Structure and theoretical X-ray powder pattern of Th2SbN (DFT lattice parameters and positions (GGA-PBE); Cu Ka).
Intensities are scaled so that the largest is 100.

The 8 most intense peaks (15° ≤ 2θ ≤ 90°), in order of rising 2θ:
d 3.063, 29.2 deg, I = 100; d 2.473, 36.3 deg, I = 54; d 2.420, 37.1 deg, I = 14; d 1.950, 46.6 deg, I = 29; d 1.645, 55.9 deg, I = 17; d 1.599, 57.6 deg, I = 15; d 1.519, 61.0 deg, I = 21; d 1.257, 75.6 deg, I = 14

```
Th2SbN
1.0
3.900 0.000 0.000
-1.950 3.378 0.000
0.000 0.000 7.261
Th Sb N
2 1 1
Direct
0.333 0.667 0.190 Th
0.667 0.333 0.810 Th
0.000 0.000 0.500 Sb
0.000 0.000 0.000 N
```


# 6
Structure and theoretical X-ray powder pattern of SmHoOs (DFT lattice parameters and positions (GGA-PBE); Cu Ka).
Intensities are scaled so that the largest is 100.

The 8 most intense peaks (15° ≤ 2θ ≤ 90°), in order of rising 2θ:
d 2.699, 33.2 deg, I = 43; d 2.585, 34.7 deg, I = 100; d 2.262, 39.8 deg, I = 69; d 1.626, 56.6 deg, I = 25; d 1.546, 59.8 deg, I = 19; d 1.468, 63.4 deg, I = 16; d 1.393, 67.2 deg, I = 15; d 1.217, 78.6 deg, I = 19

```
SmHoOs
1.0
5.456 0.000 0.000
-2.728 4.725 0.000
0.000 0.000 8.097
Sm Ho Os
3 3 3
Direct
0.174 0.348 0.333 Sm
0.174 0.826 0.667 Sm
0.652 0.826 0.000 Sm
0.372 0.186 0.000 Ho
0.814 0.186 0.667 Ho
0.814 0.628 0.333 Ho
0.009 0.505 0.000 Os
0.495 0.505 0.667 Os
0.495 0.991 0.333 Os
```


# 7
Structure and theoretical X-ray powder pattern of Li6PS5I (DFT lattice parameters and positions (GGA-PBE); Cu Ka).
Intensities are scaled so that the largest is 100.

The 8 most intense peaks (15° ≤ 2θ ≤ 90°), in order of rising 2θ:
d 5.121, 17.3 deg, I = 76; d 3.635, 24.5 deg, I = 100; d 3.583, 24.9 deg, I = 64; d 3.099, 28.8 deg, I = 58; d 3.088, 28.9 deg, I = 48; d 3.067, 29.1 deg, I = 68; d 2.962, 30.2 deg, I = 70; d 1.818, 50.2 deg, I = 39

```
Li6PS5I
1.0
6.291 -3.639 0.000
6.291 3.639 0.000
-4.086 0.000 11.653
Li P S I
12 2 10 2
Direct
0.010 0.990 0.500 Li
0.021 0.388 0.511 Li
0.145 0.238 0.764 Li
0.168 0.668 0.173 Li
0.238 0.145 0.264 Li
0.388 0.021 0.011 Li
0.510 0.531 0.501 Li
0.531 0.510 0.001 Li
0.631 0.755 0.267 Li
0.668 0.168 0.673 Li
0.755 0.631 0.767 Li
0.990 0.010 0.000 Li
0.211 0.702 0.740 P
0.702 0.211 0.240 P
0.164 0.645 0.563 S
0.327 0.838 0.117 S
0.384 0.411 0.797 S
0.387 0.873 0.803 S
0.411 0.384 0.297 S
0.645 0.164 0.063 S
0.838 0.327 0.617 S
0.873 0.387 0.303 S
0.876 0.916 0.293 S
0.916 0.876 0.793 S
0.432 0.967 0.482 I
0.967 0.432 0.982 I
```


# 8
Structure and theoretical X-ray powder pattern of Tb5Nd2Er3 (DFT lattice parameters and positions (GGA-PBE); Cu Ka).
Intensities are scaled so that the largest is 100.

The 8 most intense peaks (15° ≤ 2θ ≤ 90°), in order of rising 2θ:
d 2.954, 30.3 deg, I = 100; d 2.931, 30.5 deg, I = 46; d 2.916, 30.7 deg, I = 47; d 2.784, 32.1 deg, I = 24; d 2.666, 33.6 deg, I = 46; d 2.379, 37.8 deg, I = 18; d 1.856, 49.1 deg, I = 19; d 1.422, 65.7 deg, I = 20

```
Tb5Nd2Er3
1.0
5.332 -7.974 0.000
5.332 7.974 0.000
-5.282 0.000 7.779
Tb Nd Er
10 4 6
Direct
0.030 0.970 0.750 Tb
0.112 0.346 0.714 Tb
0.226 0.774 0.750 Tb
0.268 0.732 0.250 Tb
0.346 0.112 0.214 Tb
0.654 0.888 0.786 Tb
0.732 0.268 0.750 Tb
0.774 0.226 0.250 Tb
0.888 0.654 0.286 Tb
0.970 0.030 0.250 Tb
0.234 0.486 0.453 Nd
0.486 0.234 0.953 Nd
0.514 0.766 0.047 Nd
0.766 0.514 0.547 Nd
0.039 0.279 0.048 Er
0.279 0.039 0.548 Er
0.476 0.524 0.250 Er
0.524 0.476 0.750 Er
0.721 0.961 0.452 Er
0.961 0.721 0.952 Er
```


# 9
Structure and theoretical X-ray powder pattern of Pu8Ga2H (DFT lattice parameters and positions (GGA-PBE); Cu Ka).
Intensities are scaled so that the largest is 100.

The 8 most intense peaks (15° ≤ 2θ ≤ 90°), in order of rising 2θ:
d 3.458, 25.8 deg, I = 49; d 3.077, 29.0 deg, I = 47; d 2.717, 33.0 deg, I = 37; d 2.602, 34.5 deg, I = 100; d 2.405, 37.4 deg, I = 45; d 2.361, 38.1 deg, I = 35; d 2.250, 40.1 deg, I = 42; d 1.754, 52.1 deg, I = 37

```
Pu8Ga2H
1.0
10.535 -1.754 0.000
10.535 1.754 0.000
-1.581 0.000 6.218
Pu Ga H
8 2 1
Direct
0.011 0.011 0.270 Pu
0.121 0.121 0.029 Pu
0.186 0.186 0.412 Pu
0.367 0.367 0.418 Pu
0.633 0.633 0.582 Pu
0.814 0.814 0.588 Pu
0.879 0.879 0.971 Pu
0.989 0.989 0.730 Pu
0.253 0.253 0.859 Ga
0.747 0.747 0.141 Ga
0.500 0.500 0.500 H
```


# 10
Structure and theoretical X-ray powder pattern of La4O (DFT lattice parameters and positions (GGA-PBE); Cu Ka).
Intensities are scaled so that the largest is 100.

The 8 most intense peaks (15° ≤ 2θ ≤ 90°), in order of rising 2θ:
d 3.002, 29.8 deg, I = 100; d 2.600, 34.5 deg, I = 57; d 1.839, 49.6 deg, I = 41; d 1.568, 58.9 deg, I = 44; d 1.501, 61.8 deg, I = 14; d 1.300, 72.7 deg, I = 6; d 1.193, 80.5 deg, I = 18; d 1.163, 83.1 deg, I = 18

```
La4O
1.0
5.200 0.000 0.000
0.000 5.200 0.000
0.000 0.000 5.200
La O
4 1
Direct
0.000 0.000 0.000 La
0.000 0.500 0.500 La
0.500 0.000 0.500 La
0.500 0.500 0.000 La
0.500 0.500 0.500 O
```


# 11
Structure and theoretical X-ray powder pattern of Rb2B7Pt12 (DFT lattice parameters and positions (GGA-PBE); Cu Ka).
Intensities are scaled so that the largest is 100.

The 8 most intense peaks (15° ≤ 2θ ≤ 90°), in order of rising 2θ:
d 5.570, 15.9 deg, I = 80; d 2.946, 30.3 deg, I = 52; d 2.623, 34.2 deg, I = 100; d 2.603, 34.5 deg, I = 98; d 2.354, 38.2 deg, I = 48; d 2.086, 43.4 deg, I = 44; d 2.015, 45.0 deg, I = 70; d 1.708, 53.7 deg, I = 40

```
Rb2B7Pt12
1.0
5.570 0.000 0.000
0.008 8.999 0.000
0.005 4.499 7.794
Rb B Pt
2 7 12
Direct
0.028 0.333 0.333 Rb
0.972 0.667 0.667 Rb
0.500 0.000 0.000 B
0.500 0.087 0.274 B
0.500 0.274 0.639 B
0.500 0.361 0.913 B
0.500 0.639 0.087 B
0.500 0.726 0.361 B
0.500 0.913 0.726 B
0.248 0.203 0.855 Pt
0.248 0.855 0.942 Pt
0.248 0.942 0.203 Pt
0.470 0.503 0.646 Pt
0.470 0.646 0.851 Pt
0.470 0.851 0.503 Pt
0.530 0.149 0.497 Pt
0.530 0.354 0.149 Pt
0.530 0.497 0.354 Pt
0.752 0.058 0.797 Pt
0.752 0.145 0.058 Pt
0.752 0.797 0.145 Pt
```


# 12
Structure and theoretical X-ray powder pattern of CdGa2Br8 (DFT lattice parameters and positions (GGA-PBE); Cu Ka).
Intensities are scaled so that the largest is 100.

The 8 most intense peaks (15° ≤ 2θ ≤ 90°), in order of rising 2θ:
d 5.150, 17.2 deg, I = 29; d 3.894, 22.8 deg, I = 22; d 3.822, 23.3 deg, I = 22; d 3.276, 27.2 deg, I = 100; d 3.241, 27.5 deg, I = 47; d 3.153, 28.3 deg, I = 21; d 2.297, 39.2 deg, I = 33; d 2.161, 41.8 deg, I = 57

```
CdGa2Br8
1.0
9.461 -4.592 0.000
9.461 4.592 0.000
-7.957 0.000 9.802
Cd Ga Br
2 4 16
Direct
0.005 0.995 0.750 Cd
0.995 0.005 0.250 Cd
0.159 0.669 0.463 Ga
0.331 0.841 0.037 Ga
0.669 0.159 0.963 Ga
0.841 0.331 0.537 Ga
0.122 0.190 0.523 Br
0.136 0.681 0.269 Br
0.156 0.711 0.829 Br
0.190 0.122 0.023 Br
0.289 0.844 0.671 Br
0.301 0.385 0.445 Br
0.319 0.864 0.231 Br
0.385 0.301 0.945 Br
0.615 0.699 0.055 Br
0.681 0.136 0.769 Br
0.699 0.615 0.555 Br
0.711 0.156 0.329 Br
0.810 0.878 0.977 Br
0.844 0.289 0.171 Br
0.864 0.319 0.731 Br
0.878 0.810 0.477 Br
```